PmCrN: computed powder diffraction line list (a wavelength of 1.5418 Å), based on DFT lattice parameters and positions (PBE).
Peak positions follow from Bragg's law for the DFT cell and can differ from measured ones.

Structure:
```
PmCrN
1.0
3.175 0.000 0.000
0.000 3.204 5.504
0.000 -3.204 5.504
Pm Cr N
2 2 2
Cartesian
0.794 -1.601 5.504 Pm
2.381 1.601 5.504 Pm
0.794 0.967 2.839 Cr
2.381 -0.967 2.839 Cr
0.794 1.953 7.411 N
2.381 -1.953 7.411 N
```

The 10 most intense peaks (2θ from 15° to 90°), most intense first:
| 2theta | Rel. int. |
| --- | --- |
| 32.52 | 100.0 |
| 40.11 | 55.0 |
| 16.07 | 44.7 |
| 27.85 | 38.8 |
| 32.33 | 26.0 |
| 43.35 | 22.8 |
| 68.12 | 20.6 |
| 52.29 | 18.8 |
| 52.56 | 16.5 |
| 57.78 | 14.8 |